This entry pairs a crystal structure of Ti2Si6Tc with its computed powder diffractogram. Radiation: CuKα. Structure: a structure optimized by DFT (PBE).
Intensities are scaled so that the largest is 100.

Cell and atoms:
```
data_Ti2Si6Tc
_chemical_formula_sum 'Ti2 Si6 Tc1'
_symmetry_space_group_name_H-M 'P 1'
_symmetry_Int_Tables_number 1
_cell_length_a 4.697
_cell_length_b 4.697
_cell_length_c 6.484
_cell_angle_alpha 90.00
_cell_angle_beta 90.00
_cell_angle_gamma 120.58
loop_
_symmetry_equiv_pos_as_xyz
'x,y,z'
loop_
_atom_site_label
_atom_site_fract_x
_atom_site_fract_y
_atom_site_fract_z
Ti1 0.000 0.500 0.164
Ti2 0.500 0.000 0.836
Si1 0.183 0.342 0.832
Si2 0.334 0.666 0.500
Si3 0.342 0.183 0.168
Si4 0.658 0.817 0.168
Si5 0.666 0.334 0.500
Si6 0.817 0.658 0.832
Tc1 0.000 0.000 0.500
```

Largest 12 diffraction maxima, in order of falling intensity, 2θ = 10–80°:
- 2θ 40.87, I 100
- 2θ 47.83, I 62
- 2θ 41.20, I 58
- 2θ 41.80, I 55
- 2θ 25.97, I 41
- 2θ 48.12, I 36
- 2θ 38.33, I 26
- 2θ 25.80, I 25
- 2θ 70.82, I 22
- 2θ 35.49, I 19
- 2θ 70.61, I 19
- 2θ 21.98, I 18